Simulated PXRD pattern
Compound: SmV2O2
Radiation: a wavelength of 1.5418 Å
Structure: a DFT-relaxed cell (PBE+U, the Materials Project)
Peak positions follow from Bragg's law for the DFT cell and can differ from measured ones.

The 10 most intense peaks (2θ = 15–90°), sorted by position:
2θ/deg, d/Å, I_rel
24.16, 3.684, 278
27.80, 3.209, 664
28.05, 3.181, 1000
30.93, 2.891, 198
36.96, 2.432, 544
37.35, 2.407, 220
40.09, 2.249, 272
42.24, 2.139, 313
42.59, 2.123, 235
49.49, 1.842, 414

Crystal structure
a = 7.838 Å, b = 7.838 Å, c = 7.838 Å
α = 109.96°, β = 109.96°, γ = 108.50°
Sites, in units of the cell vectors:
Sm 0.000 0.000 0.000
Sm 0.000 0.000 0.500
Sm 0.000 0.500 0.000
Sm 0.500 0.000 0.500
V 0.048 0.626 0.422
V 0.296 0.374 0.922
V 0.374 0.296 0.422
V 0.374 0.952 0.078
V 0.626 0.048 0.922
V 0.626 0.704 0.578
V 0.704 0.626 0.078
V 0.952 0.374 0.578
O 0.226 0.321 0.595
O 0.226 0.632 0.905
O 0.321 0.226 0.095
O 0.368 0.774 0.595
O 0.632 0.226 0.405
O 0.679 0.774 0.905
O 0.774 0.368 0.095
O 0.774 0.679 0.405